Simulated powder X-ray diffraction pattern of Zr3TcNi2 for Cu Ka, from the GGA-PBE geometry in Alexandria.

Main lines, in order of rising 2θ (2θ from 15° to 90°):
39.14°, intensity 100.0, hkl 1 3 1; 39.26°, intensity 24.8, hkl 2 0 0; 39.61°, intensity 24.1, hkl 0 6 0; 56.99°, intensity 16.0, hkl 2 6 0; 71.08°, intensity 16.0, hkl 3 3 1; 71.55°, intensity 15.6, hkl 1 9 1

Structure:
abc: 4.5899 13.6520 3.2792
angles: 90.00 90.00 90.00
Space group Cmmm (No. 65)
Symmetry-distinct sites (fractional):
Zr: 0.0000 0.0000 0.0000 [2 per cell]
Zr: 0.0000 0.3328 0.0000 [4 per cell]
Tc: 0.0000 0.5000 0.5000 [2 per cell]
Ni: 0.0000 0.1645 0.5000 [4 per cell]